1.
Y2FeB6: simulated powder X-ray diffraction pattern (Cu Kα (weighted mean of Kα1 and Kα2)), based on a DFT-relaxed cell (PBE, OQMD).

Top 10 peaks for 10° ≤ 2θ ≤ 90°, in order of rising 2θ:
d_spacing  I/Imax
3.560  82
2.930  72
2.865  26
2.733  25
2.681  24
2.262  100
2.232  35
2.168  35
2.142  35
1.780  25

Cell and atoms:
```
Y2FeB6
1.0
9.102 0.000 0.000
0.000 11.461 0.000
0.000 0.000 3.560
Y Fe B
8 4 24
Direct
0.057 0.129 0.000
0.175 0.414 0.000
0.325 0.914 0.000
0.443 0.629 0.000
0.557 0.371 0.000
0.675 0.086 0.000
0.825 0.586 0.000
0.943 0.871 0.000
0.138 0.679 0.000
0.362 0.179 0.000
0.638 0.821 0.000
0.862 0.321 0.000
0.014 0.288 0.500
0.054 0.568 0.500
0.111 0.970 0.500
0.132 0.814 0.500
0.211 0.233 0.500
0.246 0.582 0.500
0.254 0.082 0.500
0.289 0.733 0.500
0.368 0.314 0.500
0.389 0.470 0.500
0.446 0.068 0.500
0.486 0.788 0.500
0.514 0.212 0.500
0.554 0.932 0.500
0.611 0.530 0.500
0.632 0.686 0.500
0.711 0.267 0.500
0.746 0.918 0.500
0.754 0.418 0.500
0.789 0.767 0.500
0.868 0.186 0.500
0.889 0.030 0.500
0.946 0.432 0.500
0.986 0.712 0.500
```

2.
ZnFe2B: simulated powder X-ray diffraction pattern (Cu Kα (weighted mean of Kα1 and Kα2)), based on a DFT-relaxed cell (PBE, OQMD).

Top 10 peaks for 10° ≤ 2θ ≤ 90°, in order of rising 2θ:
d_spacing  I/Imax
3.141  9
2.720  4
2.433  34
1.923  100
1.813  12
1.640  3
1.360  12
1.319  12
1.187  5
1.110  22

Cell and atoms:
```
ZnFe2B
1.0
5.440 0.000 0.000
0.000 5.440 0.000
0.000 0.000 5.440
Zn Fe B
4 8 4
Direct
0.000 0.000 0.000
0.000 0.000 0.500
0.000 0.500 0.000
0.500 0.000 0.000
0.279 0.279 0.279
0.279 0.279 0.721
0.279 0.721 0.279
0.279 0.721 0.721
0.721 0.279 0.279
0.721 0.279 0.721
0.721 0.721 0.279
0.721 0.721 0.721
0.000 0.500 0.500
0.500 0.000 0.500
0.500 0.500 0.000
0.500 0.500 0.500
```

3.
ZrFeB4: simulated powder X-ray diffraction pattern (Cu Kα (weighted mean of Kα1 and Kα2)), based on a DFT-relaxed cell (PBE, OQMD).

Top 10 peaks for 10° ≤ 2θ ≤ 90°, in order of rising 2θ:
d_spacing  I/Imax
3.263  56
3.133  18
2.796  80
2.518  17
2.283  19
2.260  22
2.123  100
1.993  24
1.870  28
1.409  18

Cell and atoms:
```
ZrFeB4
1.0
5.772 0.000 0.000
0.000 11.192 0.000
0.000 0.000 3.263
Zr Fe B
4 4 16
Direct
0.128 0.150 0.000
0.372 0.650 0.000
0.628 0.350 0.000
0.872 0.850 0.000
0.133 0.410 0.000
0.367 0.910 0.000
0.633 0.090 0.000
0.867 0.590 0.000
0.026 0.693 0.500
0.114 0.547 0.500
0.135 0.968 0.500
0.214 0.814 0.500
0.286 0.314 0.500
0.365 0.468 0.500
0.386 0.047 0.500
0.474 0.193 0.500
0.526 0.807 0.500
0.614 0.953 0.500
0.635 0.532 0.500
0.714 0.686 0.500
0.786 0.186 0.500
0.865 0.032 0.500
0.886 0.453 0.500
0.974 0.307 0.500
```

4.
GdGaB4: simulated powder X-ray diffraction pattern (Cu Kα (weighted mean of Kα1 and Kα2)), based on a DFT-relaxed cell (PBE, OQMD).

Top 10 peaks for 10° ≤ 2θ ≤ 90°, in order of rising 2θ:
d_spacing  I/Imax
4.372  32
4.056  72
2.725  66
2.595  28
2.262  100
2.186  47
2.028  20
1.627  29
1.425  16
1.292  17

Cell and atoms:
```
GdGaB4
1.0
3.203 0.000 0.000
0.000 5.190 0.000
0.000 0.000 8.112
Gd Ga B
2 2 8
Direct
0.000 0.000 0.000
0.500 0.500 0.500
0.000 0.000 0.500
0.500 0.500 0.000
0.000 0.325 0.262
0.000 0.325 0.738
0.000 0.675 0.262
0.000 0.675 0.738
0.500 0.175 0.238
0.500 0.175 0.762
0.500 0.825 0.238
0.500 0.825 0.762
```

5.
HfGaB4: simulated powder X-ray diffraction pattern (Cu Kα (weighted mean of Kα1 and Kα2)), based on a DFT-relaxed cell (PBE, OQMD).

Top 10 peaks for 10° ≤ 2θ ≤ 90°, in order of rising 2θ:
d_spacing  I/Imax
7.316  52
3.658  44
2.686  72
2.522  23
2.165  100
1.551  19
1.512  26
1.428  19
1.261  17
1.183  15

Cell and atoms:
```
HfGaB4
1.0
3.102 0.000 0.000
-1.551 2.686 0.000
0.000 0.000 7.316
Hf Ga B
1 1 4
Direct
0.000 0.000 0.000
0.000 0.000 0.500
0.333 0.667 0.240
0.333 0.667 0.760
0.667 0.333 0.240
0.667 0.333 0.760
```

6.
Nb2GaB2: simulated powder X-ray diffraction pattern (Cu Kα (weighted mean of Kα1 and Kα2)), based on a DFT-relaxed cell (PBE, OQMD).

Top 10 peaks for 10° ≤ 2θ ≤ 90°, in order of rising 2θ:
d_spacing  I/Imax
3.343  19
2.896  35
2.440  86
2.248  100
2.190  79
1.971  18
1.672  20
1.379  27
1.342  29
1.278  26

Cell and atoms:
```
Nb2GaB2
1.0
3.147 0.000 0.000
0.000 11.589 0.000
0.000 0.000 3.343
Nb Ga B
4 2 4
Direct
0.000 0.140 0.000
0.000 0.860 0.000
0.500 0.360 0.000
0.500 0.640 0.000
0.000 0.500 0.500
0.500 0.000 0.500
0.000 0.287 0.500
0.000 0.713 0.500
0.500 0.213 0.500
0.500 0.787 0.500
```

7.
GaNi9B8: simulated powder X-ray diffraction pattern (Cu Kα (weighted mean of Kα1 and Kα2)), based on a DFT-relaxed cell (PBE, OQMD).

Top 10 peaks for 10° ≤ 2θ ≤ 90°, in order of rising 2θ:
d_spacing  I/Imax
2.979  21
2.406  68
2.284  32
2.234  42
2.149  100
2.070  41
1.998  58
1.901  87
1.785  20
1.680  21

Cell and atoms:
```
GaNi9B8
1.0
3.570 -4.066 0.000
3.570 4.066 0.000
0.000 0.000 10.774
Ga Ni B
2 18 16
Direct
0.087 0.913 0.750
0.913 0.087 0.250
0.000 0.000 0.000
0.000 0.000 0.500
0.050 0.392 0.750
0.240 0.378 0.114
0.240 0.378 0.386
0.290 0.710 0.582
0.290 0.710 0.918
0.378 0.240 0.614
0.378 0.240 0.886
0.392 0.050 0.250
0.608 0.950 0.750
0.622 0.760 0.114
0.622 0.760 0.386
0.710 0.290 0.082
0.710 0.290 0.418
0.760 0.622 0.614
0.760 0.622 0.886
0.950 0.608 0.250
0.038 0.384 0.551
0.038 0.384 0.949
0.221 0.779 0.119
0.221 0.779 0.381
0.351 0.649 0.250
0.384 0.038 0.051
0.384 0.038 0.449
0.436 0.564 0.750
0.564 0.436 0.250
0.616 0.962 0.551
0.616 0.962 0.949
0.649 0.351 0.750
0.779 0.221 0.619
0.779 0.221 0.881
0.962 0.616 0.051
0.962 0.616 0.449
```

8.
GaB4Pd: simulated powder X-ray diffraction pattern (Cu Kα (weighted mean of Kα1 and Kα2)), based on a DFT-relaxed cell (PBE, OQMD).

Top 10 peaks for 10° ≤ 2θ ≤ 90°, in order of rising 2θ:
d_spacing  I/Imax
7.048  10
3.524  38
2.642  68
2.114  100
1.762  11
1.525  19
1.466  22
1.400  16
1.237  17
1.153  15

Cell and atoms:
```
GaB4Pd
1.0
3.050 0.000 0.000
-1.525 2.642 0.000
0.000 0.000 7.048
Ga B Pd
1 4 1
Direct
0.000 0.000 0.000
0.333 0.667 0.243
0.333 0.667 0.757
0.667 0.333 0.243
0.667 0.333 0.757
0.000 0.000 0.500
```

9.
SmGaB4: simulated powder X-ray diffraction pattern (Cu Kα (weighted mean of Kα1 and Kα2)), based on a DFT-relaxed cell (PBE, OQMD).

Top 10 peaks for 10° ≤ 2θ ≤ 90°, in order of rising 2θ:
d_spacing  I/Imax
4.415  30
4.125  72
2.741  65
2.613  27
2.283  100
2.208  47
2.063  21
1.648  29
1.300  16
1.230  28

Cell and atoms:
```
SmGaB4
1.0
3.219 0.000 0.000
0.000 5.227 0.000
0.000 0.000 8.250
Sm Ga B
2 2 8
Direct
0.000 0.000 0.000
0.500 0.500 0.500
0.000 0.000 0.500
0.500 0.500 0.000
0.000 0.325 0.261
0.000 0.325 0.739
0.000 0.675 0.261
0.000 0.675 0.739
0.500 0.175 0.239
0.500 0.175 0.761
0.500 0.825 0.239
0.500 0.825 0.761
```

10.
ThGaB4: simulated powder X-ray diffraction pattern (Cu Kα (weighted mean of Kα1 and Kα2)), based on a DFT-relaxed cell (PBE, OQMD).

Top 10 peaks for 10° ≤ 2θ ≤ 90°, in order of rising 2θ:
d_spacing  I/Imax
4.487  62
4.296  84
3.025  23
2.754  66
2.631  28
2.319  100
2.243  47
2.147  32
1.694  33
1.663  24

Cell and atoms:
```
ThGaB4
1.0
3.232 0.000 0.000
0.000 5.261 0.000
0.000 0.000 8.592
Th Ga B
2 2 8
Direct
0.000 0.000 0.000
0.500 0.500 0.500
0.000 0.000 0.500
0.500 0.500 0.000
0.000 0.324 0.260
0.000 0.324 0.740
0.000 0.676 0.260
0.000 0.676 0.740
0.500 0.176 0.240
0.500 0.176 0.760
0.500 0.824 0.240
0.500 0.824 0.760
```

11.
GaB4W: simulated powder X-ray diffraction pattern (Cu Kα (weighted mean of Kα1 and Kα2)), based on a DFT-relaxed cell (PBE, OQMD).

Top 10 peaks for 10° ≤ 2θ ≤ 90°, in order of rising 2θ:
d_spacing  I/Imax
7.762  71
3.881  54
2.588  70
2.455  22
2.153  100
1.552  31
1.494  17
1.394  18
1.227  16
1.157  16

Cell and atoms:
```
GaB4W
1.0
2.988 0.000 0.000
-1.494 2.588 0.000
0.000 0.000 7.762
Ga B W
1 4 1
Direct
0.000 0.000 0.000
0.333 0.667 0.284
0.333 0.667 0.716
0.667 0.333 0.284
0.667 0.333 0.716
0.000 0.000 0.500
```

12.
Gd2B13: simulated powder X-ray diffraction pattern (Cu Kα (weighted mean of Kα1 and Kα2)), based on a DFT-relaxed cell (PBE, OQMD).

Top 10 peaks for 10° ≤ 2θ ≤ 90°, in order of rising 2θ:
d_spacing  I/Imax
4.225  100
4.146  32
3.324  99
2.612  39
2.593  44
2.284  37
2.054  43
1.919  17
1.882  25
1.638  21

Cell and atoms:
```
Gd2B13
1.0
3.324 1.919 4.146
-3.324 1.919 4.146
0.000 -3.838 4.146
Gd B
2 13
Direct
0.207 0.207 0.207
0.793 0.793 0.793
0.000 0.000 0.000
0.174 0.494 0.494
0.257 0.669 0.669
0.331 0.331 0.743
0.331 0.743 0.331
0.494 0.174 0.494
0.494 0.494 0.174
0.506 0.506 0.826
0.506 0.826 0.506
0.669 0.257 0.669
0.669 0.669 0.257
0.743 0.331 0.331
0.826 0.506 0.506
```